Record 1
For SrMo3, the GGA-PBE geometry in Alexandria gives the calculated PXRD pattern in this record (copper Kα).
Kinematic intensities with the Lorentz-polarization factor, no thermal factor.

Cell and atoms:
Cell lengths 3.196, 3.196, 8.034 Å; angles 90.00, 90.00, 90.00 degrees
Space group P4/mmm (No. 123)
Unique sites:
1 Sr 0.000 0.000 0.000 x1
2 Mo 0.000 0.000 0.500 x1
3 Mo 0.500 0.500 0.319 x2

Peak list (8 most intense, 15° ≤ 2θ ≤ 90°, sorted by position)
35.91 deg, d = 2.501 Å, intensity 100, (1 0 2)
39.89 deg, d = 2.260 Å, intensity 55, (1 1 0)
44.12 deg, d = 2.053 Å, intensity 22, (1 0 3)
53.02 deg, d = 1.727 Å, intensity 10, (1 1 3)
53.92 deg, d = 1.701 Å, intensity 14, (1 0 4)
57.69 deg, d = 1.598 Å, intensity 18, (2 0 0)
69.85 deg, d = 1.347 Å, intensity 27, (2 1 2)
84.02 deg, d = 1.152 Å, intensity 11, (1 1 6)

=====

Record 2
For Li4PrGa4, the GGA-PBE geometry in Alexandria gives the calculated PXRD pattern in this record (copper Kα).
Kinematic intensities with the Lorentz-polarization factor, no thermal factor.

Cell and atoms:
Cell lengths 5.948, 5.948, 9.335 Å; angles 90.00, 90.00, 90.00 degrees
Space group P4_2/nmc (No. 137, origin choice 2)
Unique sites:
1 Li 0.022 0.250 0.167 x8
2 Pr 0.250 0.750 0.250 x2
3 Ga 0.031 0.250 0.460 x8

Peak list (8 most intense, 15° ≤ 2θ ≤ 90°, sorted by position)
17.68 deg, d = 5.016 Å, intensity 64, (1 0 1)
28.57 deg, d = 3.124 Å, intensity 68, (1 1 2)
31.57 deg, d = 2.834 Å, intensity 100, (2 0 1)
32.47 deg, d = 2.757 Å, intensity 66, (1 0 3)
35.08 deg, d = 2.558 Å, intensity 80, (2 1 1)
42.03 deg, d = 2.150 Å, intensity 33, (2 0 3)
47.42 deg, d = 1.917 Å, intensity 62, (2 2 2)
60.59 deg, d = 1.528 Å, intensity 36, (2 1 5)

=====

Record 3
For CaHgBr, the GGA-PBE geometry in Alexandria gives the calculated PXRD pattern in this record (copper Kα).
Kinematic intensities with the Lorentz-polarization factor, no thermal factor.

Cell and atoms:
Cell lengths 7.695, 4.284, 12.087 Å; angles 90.00, 101.19, 90.00 degrees
Space group C2/m (No. 12)
Unique sites:
1 Ca 0.079 0.000 0.227 x4
2 Hg 0.144 0.500 0.940 x4
3 Br 0.212 0.000 0.646 x4

Peak list (8 most intense, 15° ≤ 2θ ≤ 90°, sorted by position)
25.74 deg, d = 3.461 Å, intensity 25, (1 1 1)
29.38 deg, d = 3.040 Å, intensity 50, (2 0 -3)
29.51 deg, d = 3.027 Å, intensity 100, (1 1 2)
34.64 deg, d = 2.589 Å, intensity 21, (2 0 -4)
41.02 deg, d = 2.200 Å, intensity 42, (3 1 -1)
42.23 deg, d = 2.140 Å, intensity 37, (0 2 0)
43.22 deg, d = 2.093 Å, intensity 32, (1 1 -5)
52.24 deg, d = 1.751 Å, intensity 20, (2 2 -3)

=====

Record 4
For RbNaPmCl6, the GGA-PBE geometry in Alexandria gives the calculated PXRD pattern in this record (copper Kα).
Kinematic intensities with the Lorentz-polarization factor, no thermal factor.

Cell and atoms:
Cell lengths 5.544, 7.679, 8.136 Å; angles 61.95, 88.99, 87.41 degrees
Space group P1 (No. 1)
Unique sites:
1 Rb 0.000 0.000 0.000 x1
2 Na 0.499 0.692 0.616 x1
3 Pm 0.498 0.311 0.378 x1
4 Cl 0.247 0.469 0.020 x1
5 Cl 0.254 0.016 0.631 x1
6 Cl 0.262 0.639 0.350 x1
7 Cl 0.730 0.010 0.347 x1
8 Cl 0.745 0.353 0.631 x1
9 Cl 0.747 0.510 0.021 x1

Peak list (8 most intense, 15° ≤ 2θ ≤ 90°, sorted by position)
20.26 deg, d = 4.383 Å, intensity 100, (1 0 1)
20.34 deg, d = 4.366 Å, intensity 32, (1 1 1)
21.13 deg, d = 4.205 Å, intensity 25, (1 -1 0)
23.19 deg, d = 3.836 Å, intensity 26, (0 2 1)
31.53 deg, d = 2.837 Å, intensity 31, (-1 2 2)
37.58 deg, d = 2.393 Å, intensity 23, (0 0 3)
39.00 deg, d = 2.309 Å, intensity 17, (2 1 2)
39.94 deg, d = 2.257 Å, intensity 36, (2 -1 1)

=====

Record 5
For Li2CaSnS4, the GGA-PBE geometry in Alexandria gives the calculated PXRD pattern in this record (copper Kα).
Kinematic intensities with the Lorentz-polarization factor, no thermal factor.

Cell and atoms:
Cell lengths 7.585, 7.747, 10.874 Å; angles 90.00, 90.00, 90.00 degrees
Space group Imma (No. 74)
Unique sites:
1 Li 0.000 0.000 0.000 x4
2 Li 0.250 0.250 0.250 x4
3 Ca 0.000 0.000 0.500 x4
4 Sn 0.250 0.250 0.750 x4
5 S 0.000 0.006 0.757 x8
6 S 0.238 0.250 0.982 x8

Peak list (8 most intense, 15° ≤ 2θ ≤ 90°, sorted by position)
16.30 deg, d = 5.437 Å, intensity 18, (0 0 2)
27.15 deg, d = 3.284 Å, intensity 22, (0 1 3)
27.44 deg, d = 3.251 Å, intensity 50, (2 1 1)
32.95 deg, d = 2.718 Å, intensity 48, (0 0 4)
33.06 deg, d = 2.710 Å, intensity 100, (2 2 0)
43.20 deg, d = 2.094 Å, intensity 30, (0 1 5)
46.91 deg, d = 1.937 Å, intensity 18, (0 4 0)
47.37 deg, d = 1.919 Å, intensity 66, (2 2 4)

=====

Record 6
For PuCd3Cu8, the GGA-PBE geometry in Alexandria gives the calculated PXRD pattern in this record (copper Kα).
Kinematic intensities with the Lorentz-polarization factor, no thermal factor.

Cell and atoms:
Cell lengths 5.0934, 5.0934, 8.3142 Å; angles 90.00, 90.00, 120.00 degrees
Space group P3m1 (No. 156)
Unique sites:
1 Pu 0.0000 0.0000 0.0000 x1
2 Cd 0.0000 0.0000 0.3888 x1
3 Cd 0.6667 0.3333 0.4933 x1
4 Cd 0.6667 0.3333 0.8545 x1
5 Cu 0.1667 0.3334 0.6826 x3
6 Cu 0.3333 0.6667 0.4325 x1
7 Cu 0.3333 0.6667 0.9360 x1
8 Cu 0.5020 0.0040 0.1900 x3

Peak list (8 most intense, 15° ≤ 2θ ≤ 90°, sorted by position)
35.24 deg, d = 2.547 Å, intensity 57, (1 1 0)
38.36 deg, d = 2.347 Å, intensity 90, (1 0 3)
41.59 deg, d = 2.172 Å, intensity 100, (1 1 2)
42.40 deg, d = 2.132 Å, intensity 64, (2 0 1)
65.32 deg, d = 1.429 Å, intensity 36, (2 1 3)
67.58 deg, d = 1.386 Å, intensity 26, (3 0 2)
70.99 deg, d = 1.328 Å, intensity 26, (0 2 5)
74.52 deg, d = 1.273 Å, intensity 23, (2 2 0)

=====

Record 7
For NdGa2Sn2, the GGA-PBE geometry in Alexandria gives the calculated PXRD pattern in this record (copper Kα).
Kinematic intensities with the Lorentz-polarization factor, no thermal factor.

Cell and atoms:
Cell lengths 4.741, 21.500, 4.682 Å; angles 90.00, 90.00, 90.00 degrees
Space group Cmcm (No. 63)
Unique sites:
1 Nd 0.000 0.135 0.250 x4
2 Ga 0.000 0.030 0.750 x4
3 Ga 0.000 0.464 0.750 x4
4 Sn 0.000 0.249 0.750 x4
5 Sn 0.000 0.376 0.250 x4

Peak list (8 most intense, 15° ≤ 2θ ≤ 90°, sorted by position)
29.57 deg, d = 3.021 Å, intensity 29, (1 3 1)
33.34 deg, d = 2.688 Å, intensity 16, (0 8 0)
34.05 deg, d = 2.633 Å, intensity 100, (1 5 1)
37.96 deg, d = 2.370 Å, intensity 25, (2 0 0)
38.46 deg, d = 2.341 Å, intensity 24, (0 0 2)
55.14 deg, d = 1.666 Å, intensity 17, (2 0 2)
66.04 deg, d = 1.415 Å, intensity 24, (3 5 1)
66.75 deg, d = 1.401 Å, intensity 14, (1 5 3)

=====

Record 8
For Pr4HgTe2S, the GGA-PBE geometry in Alexandria gives the calculated PXRD pattern in this record (copper Kα).
Kinematic intensities with the Lorentz-polarization factor, no thermal factor.

Cell and atoms:
Cell lengths 7.687, 4.316, 7.768 Å; angles 90.00, 108.38, 90.00 degrees
Space group P2/m (No. 10)
Unique sites:
1 Pr 0.229 0.000 0.223 x2
2 Pr 0.247 0.500 0.762 x2
3 Hg 0.500 0.000 0.000 x1
4 Te 0.000 0.000 0.500 x1
5 Te 0.500 0.500 0.500 x1
6 S 0.000 0.500 0.000 x1

Peak list (8 most intense, 15° ≤ 2θ ≤ 90°, sorted by position)
28.49 deg, d = 3.133 Å, intensity 51, (2 0 -2)
28.59 deg, d = 3.122 Å, intensity 100, (1 1 1)
39.88 deg, d = 2.261 Å, intensity 19, (2 0 2)
40.64 deg, d = 2.220 Å, intensity 38, (1 1 -3)
40.97 deg, d = 2.203 Å, intensity 38, (3 1 -1)
41.86 deg, d = 2.158 Å, intensity 18, (0 2 0)
51.42 deg, d = 1.777 Å, intensity 20, (2 2 -2)
59.19 deg, d = 1.561 Å, intensity 12, (2 2 2)

=====

Copy entry 2 word for word.
For Li4PrGa4, the GGA-PBE geometry in Alexandria gives the calculated PXRD pattern in this record (copper Kα).
Kinematic intensities with the Lorentz-polarization factor, no thermal factor.

Cell and atoms:
Cell lengths 5.948, 5.948, 9.335 Å; angles 90.00, 90.00, 90.00 degrees
Space group P4_2/nmc (No. 137, origin choice 2)
Unique sites:
1 Li 0.022 0.250 0.167 x8
2 Pr 0.250 0.750 0.250 x2
3 Ga 0.031 0.250 0.460 x8

Peak list (8 most intense, 15° ≤ 2θ ≤ 90°, sorted by position)
17.68 deg, d = 5.016 Å, intensity 64, (1 0 1)
28.57 deg, d = 3.124 Å, intensity 68, (1 1 2)
31.57 deg, d = 2.834 Å, intensity 100, (2 0 1)
32.47 deg, d = 2.757 Å, intensity 66, (1 0 3)
35.08 deg, d = 2.558 Å, intensity 80, (2 1 1)
42.03 deg, d = 2.150 Å, intensity 33, (2 0 3)
47.42 deg, d = 1.917 Å, intensity 62, (2 2 2)
60.59 deg, d = 1.528 Å, intensity 36, (2 1 5)